1.
Theoretical powder diffraction line list of Fe5O8 for Cu Kα (weighted mean of Kα1 and Kα2), from a crystal structure in the Materials Project, relaxed with GGA+U.
Kinematic intensities with the Lorentz-polarization factor, no thermal factor.

Structure:
```
Fe5O8
1.0
3.0156 1.7411 4.7884
-3.0156 1.7411 4.7884
0.0000 -3.4822 4.7884
Fe O
5 8
Cartesian
-1.5078 -0.8705 4.7884
0.0000 0.0000 1.6979
-1.5078 0.8705 9.5769
0.0000 1.7411 4.7884
0.0000 0.0000 12.6675
0.0000 -1.6863 5.8585
-1.4604 0.8432 5.8585
0.0000 0.0000 3.6670
-1.4604 -0.8432 8.5068
1.4604 0.8432 5.8585
0.0000 0.0000 10.6983
1.4604 -0.8432 8.5069
0.0000 1.6863 8.5069
```

Main lines, low angle first (2θ from 10° to 90°):
2theta  I (rel.)
18.53  41.4
30.20  69.7
34.92  100.0
35.17  52.6
35.67  32.2
42.81  28.0
52.92  25.2
57.08  24.1
61.50  42.0
62.80  36.2

***

2.
Theoretical powder diffraction line list of FeO for Cu Kα (weighted mean of Kα1 and Kα2), from a crystal structure in the Materials Project, relaxed with GGA+U.
Kinematic intensities with the Lorentz-polarization factor, no thermal factor.

Structure:
```
FeO
1.0
3.0459 0.0000 0.0000
0.0000 3.0459 0.0000
0.0000 0.0000 5.4642
Fe O
2 2
Cartesian
0.0000 1.5229 0.0000
1.5229 0.0000 2.7321
0.0000 0.0000 1.3661
0.0000 0.0000 4.0982
```

Main lines, low angle first (2θ from 10° to 90°):
2theta  I (rel.)
29.32  6.2
32.78  13.7
33.69  100.0
41.95  14.1
54.23  36.2
59.10  17.5
60.82  12.2
70.84  5.9
71.36  18.9
89.94  10.0

***

3.
Theoretical powder diffraction line list of Fe8O17 for Cu Kα (weighted mean of Kα1 and Kα2), from a crystal structure in the Materials Project, relaxed with GGA+U.
Kinematic intensities with the Lorentz-polarization factor, no thermal factor.

Structure:
```
Fe8O17
1.0
5.8830 0.0000 0.0000
-0.0044 10.1331 0.0000
-0.0130 -0.1764 10.4398
Fe O
16 34
Cartesian
0.0000 0.0000 0.0000
-0.0045 1.4842 5.3013
5.8775 4.9363 2.2634
5.8679 6.4867 7.6259
1.4213 9.7049 7.2130
1.4456 1.6825 2.0989
1.4632 6.9042 0.4167
1.4634 4.8009 5.5246
2.9317 4.9038 2.2530
2.9274 6.4781 7.6258
2.9224 9.9175 10.3687
2.9608 -0.0245 4.0990
4.3975 4.8034 5.5221
4.4119 6.9070 0.4214
4.4212 1.6945 2.0851
4.4165 9.7000 7.2083
5.8727 3.5294 5.4502
-0.0094 6.0320 5.6198
-0.0034 6.9609 1.6773
0.0045 0.3860 1.9097
0.0134 2.9253 2.1654
1.1586 1.4546 6.7833
1.4455 1.2113 4.0822
1.4610 4.9664 1.0022
1.4684 4.9788 3.5057
1.4685 5.2327 7.5750
1.4778 8.8599 0.1253
1.4747 7.7502 7.4871
1.5060 1.2254 0.0644
2.0189 8.5163 3.7673
2.9160 0.3933 2.1410
2.9159 2.9098 2.1039
2.9158 9.6615 5.9376
2.9279 6.0766 5.6004
2.9323 6.9635 1.6632
2.9300 3.6563 5.5791
2.9275 6.5053 9.6201
2.9250 9.9679 8.3923
3.9977 8.6034 3.7501
4.3662 1.2323 0.0777
4.3743 7.7494 7.4838
4.3900 5.2349 7.5694
4.3943 8.8683 0.1386
4.3975 4.9722 3.5041
4.4091 4.9557 1.0132
4.4278 1.2601 4.0718
4.6927 1.4420 6.7770
5.8546 9.5114 5.9580
5.8648 6.5124 9.6176
5.8608 9.8395 8.5290
```

Main lines, low angle first (2θ from 10° to 90°):
2theta  I (rel.)
12.07  92.1
12.28  63.4
16.99  46.2
17.50  100.0
27.24  48.8
27.62  36.0
36.08  40.0
36.25  46.2
36.42  38.4
40.68  24.0

***

4.
Theoretical powder diffraction line list of Fe15O16 for Cu Kα (weighted mean of Kα1 and Kα2), from a crystal structure in the Materials Project, relaxed with GGA+U.
Kinematic intensities with the Lorentz-polarization factor, no thermal factor.

Structure:
```
Fe15O16
1.0
6.2471 0.0000 0.0000
-0.0096 6.2653 0.0000
-0.0686 -0.0578 8.7678
Fe O
15 16
Cartesian
0.0000 0.0000 0.0000
-0.0042 3.1112 0.0533
0.0153 3.1153 4.3908
0.0579 6.2155 4.4373
1.1369 1.5838 6.7220
1.5792 4.6814 6.6077
1.6375 4.7542 2.2021
1.6483 1.5294 2.2737
3.0832 3.5365 4.3374
3.1209 3.0459 8.7379
3.2009 0.0440 0.0191
3.3889 1.2934 5.5249
4.7006 1.5489 2.2366
4.7137 4.7581 2.2256
4.7297 4.6389 6.6180
0.0456 0.0760 2.1482
0.0337 3.2707 6.4775
0.0411 6.1721 6.6643
0.1440 3.1417 2.3423
1.3717 4.6177 4.3965
1.5610 4.5493 0.0339
1.6008 1.6281 4.5518
1.5889 1.4991 8.7174
3.0878 6.2323 2.1392
3.1219 3.0142 6.4597
3.1749 3.0637 2.3315
3.1655 6.0195 6.6380
4.6713 4.6997 0.1075
4.7638 1.6761 0.1117
4.8366 4.5495 4.3423
4.9372 1.5418 4.3905
```

Main lines, low angle first (2θ from 10° to 90°):
2theta  I (rel.)
33.74  10.7
35.12  52.9
35.37  42.4
40.80  100.0
41.18  50.7
59.01  32.4
59.16  15.3
59.33  31.5
59.72  17.5
71.01  8.4